[1]
Tb4PmDy4: calculated XRD peak list (Cu Kα, 1.54184 Å), based on the PBE geometry in Alexandria.
Peak positions follow from Bragg's law for the DFT cell and can differ from measured ones.

Crystal structure
```
Tb4PmDy4
1.0
3.147 -8.606 0.000
3.147 8.606 0.000
-1.772 0.000 10.697
Tb Pm Dy
8 2 8
Cartesian
2.851 6.162 1.777
1.672 6.162 8.921
2.261 6.138 5.349
3.147 3.201 0.000
3.147 -3.201 0.000
2.261 -6.138 5.349
2.851 -6.162 1.777
1.672 -6.162 8.921
0.479 0.000 7.710
4.044 0.000 2.987
1.630 0.000 0.583
1.036 0.000 4.152
2.526 3.200 3.568
1.997 3.200 7.129
2.526 -3.200 3.568
1.997 -3.200 7.129
3.487 0.000 6.546
2.893 0.000 10.114
```

Main lines, low angle first (10° ≤ 2θ ≤ 80°):
29.67°, rel. 28
30.61°, rel. 53
31.00°, rel. 100
31.18°, rel. 41
31.34°, rel. 54
32.61°, rel. 25
35.66°, rel. 36
40.73°, rel. 18
55.83°, rel. 22
57.29°, rel. 21

---

[2]
Tb3Pm2Dy3: calculated XRD peak list (Cu Kα, 1.54184 Å), based on the PBE geometry in Alexandria.
Peak positions follow from Bragg's law for the DFT cell and can differ from measured ones.

Crystal structure
```
Tb3Pm2Dy3
1.0
5.717 0.000 0.000
0.000 14.572 0.000
-0.003 0.000 6.294
Tb Pm Dy
6 4 6
Cartesian
1.429 1.819 1.035
1.429 5.466 1.035
1.428 10.929 4.220
4.286 3.643 2.074
4.284 9.105 5.259
4.284 12.752 5.259
1.432 9.106 1.068
1.432 12.751 1.068
4.281 1.820 5.226
4.281 5.466 5.226
1.427 14.567 4.191
1.425 3.643 4.165
1.427 7.291 4.191
4.287 0.005 2.103
4.287 7.281 2.103
4.289 10.929 2.130
```

Main lines, low angle first (10° ≤ 2θ ≤ 80°):
28.32°, rel. 24
31.29°, rel. 24
32.44°, rel. 100
42.71°, rel. 16
50.14°, rel. 20
56.43°, rel. 21
60.31°, rel. 23
60.97°, rel. 11
61.08°, rel. 5
78.81°, rel. 7

---

[3]
Tb4Pm3Dy4: calculated XRD peak list (Cu Kα, 1.54184 Å), based on the PBE geometry in Alexandria.
Peak positions follow from Bragg's law for the DFT cell and can differ from measured ones.

Crystal structure
```
Tb4Pm3Dy4
1.0
3.504 0.000 0.000
0.000 5.663 0.000
-1.750 -2.827 17.966
Tb Pm Dy
4 3 4
Cartesian
-0.001 0.005 1.643
0.000 2.835 6.511
1.755 0.001 11.455
1.756 2.831 16.323
0.003 2.833 13.047
1.752 2.832 0.000
1.752 0.002 4.919
0.001 2.837 3.266
0.002 0.003 8.395
1.753 2.833 9.571
1.754 -0.002 14.700
```

Main lines, low angle first (10° ≤ 2θ ≤ 80°):
30.90°, rel. 16
31.62°, rel. 100
44.78°, rel. 12
45.89°, rel. 7
52.20°, rel. 5
55.40°, rel. 5
56.30°, rel. 19
56.78°, rel. 7
62.32°, rel. 18
66.02°, rel. 7

---

[4]
Tb4Pm4Dy: calculated XRD peak list (Cu Kα, 1.54184 Å), based on the PBE geometry in Alexandria.
Peak positions follow from Bragg's law for the DFT cell and can differ from measured ones.

Crystal structure
```
Tb4Pm4Dy
1.0
-5.399 5.399 2.543
5.399 -5.399 2.543
5.399 5.399 -2.543
Tb Pm Dy
4 4 1
Cartesian
1.792 1.792 0.000
3.607 -3.607 2.543
-3.607 3.607 2.543
3.607 3.607 2.543
5.399 1.819 0.000
1.819 5.399 0.000
3.580 0.000 2.543
0.000 3.580 2.543
0.000 0.000 2.543
```

Main lines, low angle first (10° ≤ 2θ ≤ 80°):
30.43°, rel. 100
35.27°, rel. 51
50.74°, rel. 36
60.33°, rel. 43
63.31°, rel. 12
74.60°, rel. 6

---

[5]
Tb4PmDy6: calculated XRD peak list (Cu Kα, 1.54184 Å), based on the PBE geometry in Alexandria.
Peak positions follow from Bragg's law for the DFT cell and can differ from measured ones.

Crystal structure
```
Tb4PmDy6
1.0
2.867 -4.802 0.000
2.867 4.802 0.000
0.000 0.000 25.669
Tb Pm Dy
8 2 12
Cartesian
2.867 4.466 15.945
2.867 4.466 22.558
2.867 1.484 13.930
2.867 1.484 24.574
2.867 -1.484 1.095
2.867 -1.484 11.739
2.867 -4.466 3.111
2.867 -4.466 9.724
2.867 1.845 6.417
2.867 -1.845 19.252
0.000 0.000 0.000
0.000 0.000 12.835
2.867 4.542 19.252
2.867 1.865 2.643
2.867 1.865 10.191
2.867 1.320 17.484
2.867 1.320 21.020
2.867 -1.320 4.649
2.867 -1.320 8.185
2.867 -1.865 15.478
2.867 -1.865 23.026
2.867 -4.542 6.417
```

Main lines, low angle first (10° ≤ 2θ ≤ 80°):
30.40°, rel. 68
30.68°, rel. 53
31.20°, rel. 68
32.02°, rel. 100
32.22°, rel. 25
33.33°, rel. 50
44.32°, rel. 39
56.05°, rel. 21
56.41°, rel. 18
57.73°, rel. 21

---

[6]
Tb3Pm3Dy2: calculated XRD peak list (Cu Kα, 1.54184 Å), based on the PBE geometry in Alexandria.
Peak positions follow from Bragg's law for the DFT cell and can differ from measured ones.

Crystal structure
```
Tb3Pm3Dy2
1.0
5.740 0.000 0.000
0.000 14.623 0.000
0.000 0.000 6.319
Tb Pm Dy
6 6 4
Cartesian
1.435 0.010 1.052
1.435 3.656 1.075
1.435 7.301 1.052
4.305 7.321 5.267
4.305 10.967 5.244
4.305 14.613 5.267
1.435 1.816 4.218
1.435 5.495 4.218
1.435 10.967 1.034
4.305 3.656 5.285
4.305 9.128 2.101
4.305 12.806 2.101
1.435 9.134 4.209
1.435 12.800 4.209
4.305 1.823 2.110
4.305 5.488 2.110
```

Main lines, low angle first (10° ≤ 2θ ≤ 80°):
28.22°, rel. 24
31.16°, rel. 24
32.32°, rel. 100
42.53°, rel. 16
49.95°, rel. 20
56.18°, rel. 21
60.05°, rel. 23
60.75°, rel. 16
67.64°, rel. 4
78.46°, rel. 8

---

[7]
TbPm2Dy5: calculated XRD peak list (Cu Kα, 1.54184 Å), based on the PBE geometry in Alexandria.
Peak positions follow from Bragg's law for the DFT cell and can differ from measured ones.

Crystal structure
```
TbPm2Dy5
1.0
7.145 0.000 0.000
0.000 14.290 0.000
0.000 0.000 5.044
Tb Pm Dy
2 4 10
Cartesian
0.000 0.000 0.000
3.572 7.145 0.000
1.787 1.786 2.522
1.785 8.931 2.522
5.360 5.359 2.522
5.357 12.503 2.522
0.001 3.574 0.000
0.000 7.145 0.000
7.144 10.716 0.000
1.787 5.356 2.522
1.785 12.501 2.522
3.572 0.000 0.000
3.573 3.571 0.000
3.572 10.718 0.000
5.359 1.788 2.522
5.358 8.933 2.522
```

Main lines, low angle first (10° ≤ 2θ ≤ 80°):
30.67°, rel. 100
35.56°, rel. 51
51.17°, rel. 36
60.84°, rel. 43
63.86°, rel. 12
75.23°, rel. 4
75.37°, rel. 2

---

[8]
Tb5Pm2Dy12: calculated XRD peak list (Cu Kα, 1.54184 Å), based on the PBE geometry in Alexandria.
Peak positions follow from Bragg's law for the DFT cell and can differ from measured ones.

Crystal structure
```
Tb5Pm2Dy12
1.0
6.160 0.000 0.000
-3.068 8.896 0.000
-2.054 -0.719 11.028
Tb Pm Dy
5 2 12
Cartesian
0.000 0.000 0.000
-2.039 7.126 5.808
0.004 2.125 10.447
1.034 6.052 0.581
3.077 1.051 5.220
-1.021 3.912 4.633
2.060 4.265 6.394
-1.020 3.199 1.149
-2.042 6.414 2.313
0.005 0.705 3.473
-0.006 1.404 6.973
-1.022 4.621 8.145
-2.047 7.823 9.292
3.085 0.353 1.736
2.060 3.556 2.883
1.044 6.773 4.055
1.034 7.472 7.555
3.081 1.763 8.715
2.058 4.978 9.879
```

Main lines, low angle first (10° ≤ 2θ ≤ 80°):
30.79°, rel. 100
35.70°, rel. 51
51.37°, rel. 24
51.41°, rel. 12
61.11°, rel. 43
64.14°, rel. 12
75.63°, rel. 6